Computed X-ray diffraction stick pattern
Compound: Tb2I3O
Radiation: λ = 1.5418 Å (Cu Kα)
Structure: the GGA-PBE geometry in Alexandria
Neutral-atom scattering factors, no anomalous dispersion.

Cell and atoms:
a = 10.8495 Å, b = 10.8495 Å, c = 11.4971 Å
α = 112.12°, β = 112.12°, γ = 21.67°
Fractional positions:
Tb 0.0691 0.0691 0.4708
Tb 0.4277 0.4277 0.2603
Tb 0.5723 0.5723 0.7397
Tb 0.9309 0.9309 0.5292
I 0.1370 0.1370 0.9576
I 0.3141 0.3141 0.3664
I 0.4275 0.4275 0.7409
I 0.5725 0.5725 0.2591
I 0.6859 0.6859 0.6336
I 0.8630 0.8630 0.0424
O 0.0433 0.0433 0.6429
O 0.9567 0.9567 0.3571

Top 6 peaks for 2θ = 10–80°, most intense first:
d [Å]  2θ/deg  I/Imax
3.079  29.0  100
2.348  38.3  31
2.421  37.1  22
3.319  26.9  22
2.298  39.2  22
2.040  44.4  19


Computed X-ray diffraction stick pattern
Compound: TbTcIO4
Radiation: λ = 1.5418 Å (Cu Kα)
Structure: the GGA-PBE geometry in Alexandria
Neutral-atom scattering factors, no anomalous dispersion.

Cell and atoms:
a = 6.6380 Å, b = 6.6380 Å, c = 6.9071 Å
α = 101.63°, β = 101.63°, γ = 64.34°
Fractional positions:
Tb 0.2501 0.2501 0.1199
Tb 0.7499 0.7499 0.8801
Tc 0.3708 0.3708 0.7248
Tc 0.6292 0.6292 0.2752
I 0.0087 0.0087 0.7489
I 0.9913 0.9913 0.2511
O 0.1220 0.4880 0.8620
O 0.2989 0.2989 0.4684
O 0.4679 0.4679 0.2083
O 0.4880 0.1220 0.8620
O 0.5120 0.8780 0.1380
O 0.5321 0.5321 0.7917
O 0.7011 0.7011 0.5316
O 0.8780 0.5120 0.1380

Top 6 peaks for 2θ = 10–80°, most intense first:
d [Å]  2θ/deg  I/Imax
3.534  25.2  100
2.622  34.2  50
3.235  27.6  46
3.190  28.0  40
3.812  23.3  34
6.709  13.2  33


Repeat the second record exactly.
Computed X-ray diffraction stick pattern
Compound: TbTcIO4
Radiation: λ = 1.5418 Å (Cu Kα)
Structure: the GGA-PBE geometry in Alexandria
Neutral-atom scattering factors, no anomalous dispersion.

Cell and atoms:
a = 6.6380 Å, b = 6.6380 Å, c = 6.9071 Å
α = 101.63°, β = 101.63°, γ = 64.34°
Fractional positions:
Tb 0.2501 0.2501 0.1199
Tb 0.7499 0.7499 0.8801
Tc 0.3708 0.3708 0.7248
Tc 0.6292 0.6292 0.2752
I 0.0087 0.0087 0.7489
I 0.9913 0.9913 0.2511
O 0.1220 0.4880 0.8620
O 0.2989 0.2989 0.4684
O 0.4679 0.4679 0.2083
O 0.4880 0.1220 0.8620
O 0.5120 0.8780 0.1380
O 0.5321 0.5321 0.7917
O 0.7011 0.7011 0.5316
O 0.8780 0.5120 0.1380

Top 6 peaks for 2θ = 10–80°, most intense first:
d [Å]  2θ/deg  I/Imax
3.534  25.2  100
2.622  34.2  50
3.235  27.6  46
3.190  28.0  40
3.812  23.3  34
6.709  13.2  33